SmZr2Zn3: computed powder diffraction line list (Cu Kα), based on a DFT-relaxed cell (GGA-PBE, Alexandria).

The 10 most intense peaks (10 to 90 degrees two-theta), sorted by position:
two_theta  I/Imax
25.88  6.8
31.28  7.0
36.92  54.4
37.04  100.0
53.21  18.5
53.55  6.7
66.60  34.1
66.83  13.5
78.59  5.6
78.87  8.3

Cell and atoms:
a b c (Å): 3.443 3.443 10.267
angles (deg): 90.00 90.00 90.00
Sites, in units of the cell vectors:
Sm (0.000, 0.000, 0.000)
Zr (0.000, 0.000, 0.342)
Zr (0.000, 0.000, 0.658)
Zn (0.500, 0.500, 0.193)
Zn (0.500, 0.500, 0.500)
Zn (0.500, 0.500, 0.807)


Sm5Zr: computed powder diffraction line list (Cu Kα), based on a DFT-relaxed cell (GGA-PBE, Alexandria).

The 10 most intense peaks (10 to 90 degrees two-theta), sorted by position:
two_theta  I/Imax
30.90  100.0
35.76  33.5
35.99  16.8
51.46  11.6
51.63  23.4
61.19  13.0
61.29  14.1
61.55  14.4
64.39  11.8
84.30  11.1

Cell and atoms:
a b c (Å): 7.944 7.944 5.017
angles (deg): 90.00 90.00 143.38
Sites, in units of the cell vectors:
Sm (0.000, 0.000, 0.000)
Sm (0.160, 0.840, 0.500)
Sm (0.339, 0.661, 0.000)
Sm (0.661, 0.339, 0.000)
Sm (0.840, 0.160, 0.500)
Zr (0.500, 0.500, 0.500)


SrSn5: computed powder diffraction line list (Cu Kα), based on a DFT-relaxed cell (GGA-PBE, Alexandria).

The 10 most intense peaks (10 to 90 degrees two-theta), sorted by position:
two_theta  I/Imax
30.00  39.2
31.33  100.0
32.80  67.4
38.94  30.3
41.78  18.9
49.93  19.4
53.14  14.8
58.44  14.3
61.40  13.8
68.97  13.7

Cell and atoms:
a b c (Å): 6.902 6.902 6.902
angles (deg): 140.85 117.93 75.88
Sites, in units of the cell vectors:
Sr (0.000, 0.000, 0.000)
Sn (0.126, 0.336, 0.790)
Sn (0.454, 0.664, 0.790)
Sn (0.500, 0.000, 0.500)
Sn (0.546, 0.336, 0.210)
Sn (0.874, 0.664, 0.210)